[1]
Starting from a PBE+U-relaxed structure, the powder XRD pattern of Li8CoO5F was calculated for Cu Kα X-rays.
Peak positions follow from Bragg's law for the DFT cell and can differ from measured ones.

Atomic structure:
Cell: 5.559 5.574 10.939 Å, 89.64 89.83 60.45°
Space group P1 (No. 1)
Unique sites:
Li  0.000  0.000  0.000 (multiplicity 1)
Li  0.000  0.329  0.848 (multiplicity 1)
Li  0.266  0.398  0.001 (multiplicity 1)
Li  0.294  0.684  0.500 (multiplicity 1)
Li  0.310  0.041  0.652 (multiplicity 1)
Li  0.315  0.037  0.141 (multiplicity 1)
Li  0.342  0.730  0.849 (multiplicity 1)
Li  0.364  0.343  0.350 (multiplicity 1)
Li  0.594  0.075  0.850 (multiplicity 1)
Li  0.622  0.687  0.347 (multiplicity 1)
Li  0.643  0.378  0.152 (multiplicity 1)
Li  0.650  0.374  0.641 (multiplicity 1)
Li  0.668  0.731  0.001 (multiplicity 1)
Li  0.690  0.019  0.501 (multiplicity 1)
Li  0.957  0.422  0.501 (multiplicity 1)
Li  0.960  0.094  0.350 (multiplicity 1)
Co  0.977  0.715  0.716 (multiplicity 1)
Co  0.988  0.708  0.216 (multiplicity 1)
O  0.297  0.385  0.177 (multiplicity 1)
O  0.305  0.702  0.676 (multiplicity 1)
O  0.311  0.043  0.941 (multiplicity 1)
O  0.647  0.374  0.442 (multiplicity 1)
O  0.656  0.027  0.677 (multiplicity 1)
O  0.659  0.706  0.175 (multiplicity 1)
O  0.971  0.035  0.176 (multiplicity 1)
O  0.977  0.711  0.900 (multiplicity 1)
O  0.981  0.710  0.400 (multiplicity 1)
O  0.986  0.384  0.675 (multiplicity 1)
F  0.314  0.042  0.439 (multiplicity 1)
F  0.644  0.375  0.939 (multiplicity 1)

Peak list (10 most intense, 10 to 90 degrees two-theta, most intense first)
| index | d (Å) | Position (°2θ) | I_rel |
| --- | --- | --- | --- |
| 0 1 -2 | 3.621 | 24.58 | 100 |
| 1 0 0 | 4.843 | 18.32 | 77 |
| 0 0 4 | 2.735 | 32.75 | 52 |
| 2 1 0 | 2.783 | 32.16 | 43 |
| 0 0 2 | 5.469 | 16.21 | 41 |
| 1 1 0 | 4.810 | 18.45 | 39 |
| 2 1 -1 | 2.695 | 33.25 | 26 |
| 1 1 -2 | 3.602 | 24.71 | 25 |
| 0 1 2 | 3.639 | 24.46 | 25 |
| 1 -1 0 | 2.802 | 31.94 | 21 |

---

[2]
Starting from a PBE+U-relaxed structure, the powder XRD pattern of Li5CoOF5 was calculated for Cu Kα X-rays.
Peak positions follow from Bragg's law for the DFT cell and can differ from measured ones.

Atomic structure:
Cell: 14.983 3.197 5.543 Å, 90.00 90.02 90.00°
Space group Pc (No. 7)
Unique sites:
Li  0.000  0.250  0.000 (multiplicity 2)
Li  0.164  0.250  0.333 (multiplicity 2)
Li  0.327  0.250  0.000 (multiplicity 2)
Li  0.672  0.250  0.000 (multiplicity 2)
Li  0.836  0.250  0.333 (multiplicity 2)
Co  0.506  0.248  0.334 (multiplicity 2)
O  0.540  0.250  0.999 (multiplicity 2)
F  0.037  0.250  0.333 (multiplicity 2)
F  0.201  0.250  0.000 (multiplicity 2)
F  0.362  0.250  0.333 (multiplicity 2)
F  0.710  0.250  0.333 (multiplicity 2)
F  0.874  0.250  0.000 (multiplicity 2)

Peak list (10 most intense, 10 to 90 degrees two-theta, most intense first)
| index | d (Å) | Position (°2θ) | I_rel |
| --- | --- | --- | --- |
| 0 0 2 | 2.770 | 32.32 | 100 |
| 2 0 0 | 7.491 | 11.81 | 75 |
| 6 0 0 | 2.497 | 35.96 | 50 |
| 1 0 2 | 2.724 | 32.88 | 48 |
| 0 2 0 | 1.599 | 57.63 | 47 |
| 3 0 -2 | 2.422 | 37.11 | 42 |
| 2 0 2 | 2.598 | 34.52 | 39 |
| 6 0 -2 | 1.855 | 49.12 | 39 |
| 3 0 0 | 4.994 | 17.76 | 33 |
| 4 0 2 | 2.227 | 40.50 | 31 |

---

[3]
Starting from a PBE+U-relaxed structure, the powder XRD pattern of Li3Co3OF7 was calculated for Cu Kα X-rays.
Peak positions follow from Bragg's law for the DFT cell and can differ from measured ones.

Atomic structure:
Cell: 10.509 6.078 10.499 Å, 90.00 109.54 90.00°
Space group Cc (No. 9)
Unique sites:
Li  0.000  0.005  0.000 (multiplicity 4)
Li  0.188  0.242  0.312 (multiplicity 4)
Li  0.316  0.236  0.683 (multiplicity 4)
Co  0.257  0.243  0.006 (multiplicity 4)
Co  0.494  0.247  0.243 (multiplicity 4)
Co  0.495  0.005  0.005 (multiplicity 4)
O  0.382  0.026  0.121 (multiplicity 4)
F  0.117  0.239  0.619 (multiplicity 4)
F  0.119  0.025  0.874 (multiplicity 4)
F  0.121  0.252  0.114 (multiplicity 4)
F  0.124  0.487  0.886 (multiplicity 4)
F  0.381  0.261  0.883 (multiplicity 4)
F  0.381  0.499  0.117 (multiplicity 4)
F  0.386  0.248  0.378 (multiplicity 4)

Peak list (10 most intense, 10 to 90 degrees two-theta, most intense first)
| index | d (Å) | Position (°2θ) | I_rel |
| --- | --- | --- | --- |
| 1 1 -1 | 4.957 | 17.89 | 100 |
| 2 2 2 | 2.145 | 42.12 | 77 |
| 3 1 -3 | 2.587 | 34.68 | 54 |
| 0 4 0 | 1.518 | 61.04 | 24 |
| 2 2 -6 | 1.516 | 61.14 | 23 |
| 3 3 1 | 1.652 | 55.63 | 21 |
| 1 1 0 | 5.180 | 17.12 | 15 |
| 5 1 -1 | 1.970 | 46.07 | 9 |
| 1 1 -2 | 3.938 | 22.58 | 9 |
| 3 1 0 | 2.902 | 30.82 | 8 |

---

[4]
Starting from a PBE+U-relaxed structure, the powder XRD pattern of LiCo2OF5 was calculated for Cu Kα X-rays.
Peak positions follow from Bragg's law for the DFT cell and can differ from measured ones.

Atomic structure:
Cell: 4.499 8.512 8.624 Å, 60.48 88.94 88.03°
Space group P1 (No. 1)
Unique sites:
Li  0.000  0.000  0.000 (multiplicity 1)
Li  0.005  0.670  0.668 (multiplicity 1)
Li  0.518  0.335  0.335 (multiplicity 1)
Co  0.023  0.325  0.657 (multiplicity 1)
Co  0.023  0.643  0.019 (multiplicity 1)
Co  0.024  0.007  0.336 (multiplicity 1)
Co  0.496  0.341  0.991 (multiplicity 1)
Co  0.497  0.994  0.685 (multiplicity 1)
Co  0.498  0.687  0.339 (multiplicity 1)
O  0.247  0.116  0.759 (multiplicity 1)
O  0.254  0.799  0.426 (multiplicity 1)
O  0.276  0.449  0.093 (multiplicity 1)
F  0.246  0.120  0.102 (multiplicity 1)
F  0.248  0.775  0.114 (multiplicity 1)
F  0.253  0.775  0.783 (multiplicity 1)
F  0.255  0.444  0.767 (multiplicity 1)
F  0.274  0.456  0.439 (multiplicity 1)
F  0.276  0.113  0.444 (multiplicity 1)
F  0.741  0.568  0.226 (multiplicity 1)
F  0.748  0.219  0.558 (multiplicity 1)
F  0.754  0.235  0.880 (multiplicity 1)
F  0.760  0.218  0.217 (multiplicity 1)
F  0.763  0.903  0.559 (multiplicity 1)
F  0.767  0.899  0.223 (multiplicity 1)
F  0.772  0.552  0.892 (multiplicity 1)
F  0.774  0.872  0.896 (multiplicity 1)
F  0.783  0.553  0.551 (multiplicity 1)

Peak list (10 most intense, 10 to 90 degrees two-theta, most intense first)
| index | d (Å) | Position (°2θ) | I_rel |
| --- | --- | --- | --- |
| 1 1 -1 | 3.142 | 28.41 | 100 |
| 1 -1 1 | 3.086 | 28.93 | 54 |
| 0 1 2 | 4.313 | 20.59 | 53 |
| -1 2 1 | 3.038 | 29.40 | 34 |
| 1 0 3 | 2.190 | 41.23 | 28 |
| 2 3 3 | 1.687 | 54.38 | 27 |
| 2 -3 0 | 1.637 | 56.17 | 26 |
| 0 2 1 | 4.254 | 20.88 | 18 |
| -1 2 4 | 1.931 | 47.05 | 17 |
| 1 2 4 | 1.958 | 46.38 | 17 |

---

Copy entry 3 word for word.
Starting from a PBE+U-relaxed structure, the powder XRD pattern of Li3Co3OF7 was calculated for Cu Kα X-rays.
Peak positions follow from Bragg's law for the DFT cell and can differ from measured ones.

Atomic structure:
Cell: 10.509 6.078 10.499 Å, 90.00 109.54 90.00°
Space group Cc (No. 9)
Unique sites:
Li  0.000  0.005  0.000 (multiplicity 4)
Li  0.188  0.242  0.312 (multiplicity 4)
Li  0.316  0.236  0.683 (multiplicity 4)
Co  0.257  0.243  0.006 (multiplicity 4)
Co  0.494  0.247  0.243 (multiplicity 4)
Co  0.495  0.005  0.005 (multiplicity 4)
O  0.382  0.026  0.121 (multiplicity 4)
F  0.117  0.239  0.619 (multiplicity 4)
F  0.119  0.025  0.874 (multiplicity 4)
F  0.121  0.252  0.114 (multiplicity 4)
F  0.124  0.487  0.886 (multiplicity 4)
F  0.381  0.261  0.883 (multiplicity 4)
F  0.381  0.499  0.117 (multiplicity 4)
F  0.386  0.248  0.378 (multiplicity 4)

Peak list (10 most intense, 10 to 90 degrees two-theta, most intense first)
| index | d (Å) | Position (°2θ) | I_rel |
| --- | --- | --- | --- |
| 1 1 -1 | 4.957 | 17.89 | 100 |
| 2 2 2 | 2.145 | 42.12 | 77 |
| 3 1 -3 | 2.587 | 34.68 | 54 |
| 0 4 0 | 1.518 | 61.04 | 24 |
| 2 2 -6 | 1.516 | 61.14 | 23 |
| 3 3 1 | 1.652 | 55.63 | 21 |
| 1 1 0 | 5.180 | 17.12 | 15 |
| 5 1 -1 | 1.970 | 46.07 | 9 |
| 1 1 -2 | 3.938 | 22.58 | 9 |
| 3 1 0 | 2.902 | 30.82 | 8 |